This entry pairs a crystal structure of MnVP4O14 with its calculated XRD peak list. Radiation: Cu Kα (weighted mean of Kα1 and Kα2). Structure: a crystal structure in Alexandria, relaxed with PBE+U.
Kinematic intensities with the Lorentz-polarization factor, no thermal factor.

Crystal structure
```
data_MnVP4O14
_space_group_name_H-M_alt 'P 1'
_space_group_IT_number 1
_cell_length_a 4.8392
_cell_length_b 7.0367
_cell_length_c 8.1707
_cell_angle_alpha 87.42
_cell_angle_beta 88.56
_cell_angle_gamma 73.69
loop_
_space_group_symop_operation_xyz
'x,y,z'
loop_
_atom_site_label
_atom_site_fract_x
_atom_site_fract_y
_atom_site_fract_z
Mn1 0.0000 0.0000 0.0000
V1 0.4267 0.5420 0.5005
P1 0.4603 0.1537 0.7646
P2 0.6021 0.7653 0.1805
P3 0.8236 0.7659 0.6905
P4 0.9859 0.3775 0.2710
O1 0.0662 0.7156 0.5588
O2 0.0824 0.1907 0.1817
O3 0.1846 0.1015 0.8121
O4 0.2401 0.4480 0.3315
O5 0.3627 0.8041 0.0577
O6 0.3832 0.3434 0.6506
O7 0.4860 0.7444 0.3592
O8 0.6180 0.6353 0.6671
O9 0.6411 0.1748 0.9084
O10 0.6430 0.9906 0.6399
O11 0.7796 0.3741 0.4213
O12 0.7852 0.9086 0.1797
O13 0.8044 0.5460 0.1456
O14 0.9285 0.7574 0.8613
```

Peak list (10 most intense, 2θ from 5° to 70°, by intensity)
Position (°2θ)  I (rel.)  (hkl)
16.7  100.0  0 1 1
17.4  86.7  0 1 -1
29.1  43.7  1 1 2
30.3  39.1  1 1 -2
22.4  30.0  1 1 1
28.3  29.5  -1 1 1
23.1  28.8  1 1 -1
22.1  24.5  1 0 -1
29.6  21.1  1 2 1
28.5  21.1  1 -1 1